Entry 1:
The following is a calculated powder XRD pattern of SnH6CI3N. It was derived from a GGA-PBE-relaxed structure, using Cu Kα X-rays.

Principal peaks in the range 2θ from 10° to 90°, by intensity:
2θ = 28.1°, I 100.0; 2θ = 14.0°, I 89.8; 2θ = 13.7°, I 51.6; 2θ = 27.7°, I 47.5; 2θ = 41.0°, I 42.7; 2θ = 24.0°, I 37.8; 2θ = 31.8°, I 33.4; 2θ = 38.8°, I 25.9

Structural model:
```
SnH6CI3N
1.0
8.895 0.000 0.000
-0.008 9.084 0.000
-0.973 -0.004 12.881
Sn H C I N
4 24 4 12 4
Cartesian
0.000 0.000 0.000 Sn
8.404 0.151 6.440 Sn
3.946 4.542 6.444 Sn
3.471 4.693 12.878 Sn
-0.042 5.491 4.704 H
-0.467 3.772 11.171 H
0.384 5.323 2.300 H
-0.074 3.901 8.760 H
0.264 5.469 9.572 H
0.791 3.797 3.159 H
2.506 1.080 10.293 H
3.014 8.130 3.859 H
3.342 0.484 4.633 H
2.850 8.735 11.069 H
3.212 8.486 8.672 H
3.716 0.731 2.236 H
3.943 0.938 11.145 H
4.441 8.300 4.720 H
4.367 0.784 8.741 H
4.883 8.458 2.320 H
5.242 0.921 3.163 H
4.749 8.331 9.586 H
7.414 5.610 3.849 H
6.990 3.563 10.342 H
7.782 4.193 4.637 H
7.298 5.019 11.086 H
7.619 5.235 8.679 H
8.148 3.928 2.243 H
-0.513 4.749 9.296 C
-0.018 4.469 2.854 C
3.948 9.014 9.288 C
4.457 0.221 2.860 C
0.071 8.657 2.928 I
-0.396 0.575 9.370 I
1.647 6.620 6.394 I
1.178 2.603 12.857 I
1.966 2.288 5.869 I
1.475 6.934 12.317 I
4.021 4.118 9.372 I
4.532 5.126 2.928 I
5.621 2.076 12.835 I
6.098 7.152 6.411 I
6.411 2.399 5.892 I
5.924 6.831 12.309 I
3.279 0.433 10.519 N
3.772 8.792 4.088 N
8.195 4.975 4.081 N
7.740 4.243 10.544 N
```

---

Entry 2:
The following is a calculated powder XRD pattern of SnH6CI3N. It was derived from a GGA-PBE-relaxed structure, using Cu Kα X-rays.

Principal peaks in the range 2θ from 10° to 90°, by intensity:
2θ = 14.2°, I 100.0; 2θ = 28.6°, I 93.5; 2θ = 28.0°, I 67.4; 2θ = 40.5°, I 63.6; 2θ = 13.9°, I 57.2; 2θ = 23.9°, I 43.9; 2θ = 31.0°, I 38.0; 2θ = 25.2°, I 34.3

Structural model:
```
SnH6CI3N
1.0
8.505 0.000 0.000
0.000 12.732 0.000
0.000 0.000 9.193
Sn H C I N
4 24 4 12 4
Cartesian
0.000 0.000 0.000 Sn
0.000 6.366 0.000 Sn
4.252 0.000 4.596 Sn
4.252 6.366 4.596 Sn
8.501 2.344 3.245 H
8.501 4.022 3.245 H
0.003 8.710 5.948 H
0.003 10.388 5.948 H
0.096 2.285 5.669 H
0.096 4.081 5.669 H
1.345 9.549 4.115 H
1.355 3.183 3.797 H
2.898 9.549 8.394 H
2.908 3.183 8.711 H
4.157 8.651 1.073 H
4.157 10.447 1.073 H
4.249 2.344 1.352 H
4.249 4.022 1.352 H
4.256 8.710 7.841 H
4.256 10.388 7.841 H
4.348 2.285 8.120 H
4.348 4.081 8.120 H
5.597 9.549 0.482 H
5.607 3.183 0.799 H
7.150 9.549 5.395 H
7.160 3.183 5.078 H
8.409 8.651 3.523 H
8.409 10.447 3.523 H
0.252 9.549 4.043 C
4.000 3.183 8.639 C
4.505 9.549 0.553 C
8.253 3.183 5.150 C
0.331 9.549 0.142 I
1.705 6.653 6.497 I
1.705 12.445 6.497 I
2.548 0.287 1.900 I
2.548 6.079 1.900 I
3.922 3.183 4.739 I
4.583 9.549 4.454 I
5.957 6.653 7.292 I
5.957 12.445 7.292 I
6.800 0.287 2.696 I
6.800 6.079 2.696 I
8.174 3.183 9.050 I
0.316 3.183 3.769 N
3.937 9.549 8.365 N
4.568 3.183 0.828 N
8.189 9.549 5.424 N
```

---

Entry 3:
The following is a calculated powder XRD pattern of SnH5CI3N2. It was derived from a GGA-PBE-relaxed structure, using Cu Kα X-rays.

Principal peaks in the range 2θ from 10° to 90°, by intensity:
2θ = 28.0°, I 100.0; 2θ = 13.9°, I 71.4; 2θ = 39.4°, I 66.1; 2θ = 13.5°, I 49.6; 2θ = 27.2°, I 49.1; 2θ = 24.4°, I 43.3; 2θ = 23.5°, I 40.3; 2θ = 30.6°, I 37.8

Structural model:
```
SnH5CI3N2
1.0
6.567 0.000 0.000
0.000 4.399 4.623
0.000 -4.399 4.623
Sn H C I N
1 5 1 3 2
Cartesian
0.000 0.000 0.000 Sn
1.277 0.000 4.488 H
2.035 0.000 6.070 H
3.283 0.000 3.349 H
4.532 0.000 6.070 H
5.290 0.000 4.488 H
3.283 0.000 4.443 C
0.000 -2.112 2.634 I
0.000 2.112 2.634 I
3.283 0.000 9.047 I
2.123 0.000 5.053 N
4.444 0.000 5.053 N
```

---

Entry 4:
The following is a calculated powder XRD pattern of SrH12C4I3N. It was derived from a GGA-PBE-relaxed structure, using Cu Kα X-rays.

Principal peaks in the range 2θ from 10° to 90°, by intensity:
2θ = 10.3°, I 100.0; 2θ = 10.9°, I 60.2; 2θ = 20.9°, I 57.3; 2θ = 22.5°, I 51.9; 2θ = 23.8°, I 50.4; 2θ = 27.2°, I 40.2; 2θ = 21.5°, I 36.9; 2θ = 23.5°, I 36.0

Structural model:
```
SrH12C4I3N
1.0
8.525 0.000 0.000
0.776 9.370 0.000
0.553 3.977 9.359
Sr H C I N
2 24 8 6 2
Cartesian
0.000 0.000 0.000 Sr
4.996 9.309 0.007 Sr
0.734 5.307 1.912 H
1.642 5.106 5.468 H
1.520 2.733 4.527 H
1.896 6.484 4.371 H
1.753 2.446 2.785 H
2.009 4.407 1.295 H
2.249 5.980 1.910 H
3.788 4.031 4.567 H
4.023 5.394 3.454 H
3.970 3.724 2.821 H
4.915 8.095 5.330 H
5.367 10.536 5.733 H
5.597 8.945 7.634 H
6.099 8.080 3.988 H
6.425 10.524 4.407 H
6.282 6.966 5.362 H
6.906 11.141 5.894 H
6.998 7.854 7.655 H
7.238 9.595 7.903 H
8.450 9.019 4.356 H
8.711 7.932 5.738 H
8.910 9.679 5.955 H
8.876 5.582 4.345 H
8.786 3.227 3.374 H
1.441 5.489 4.459 C
1.347 3.150 3.525 C
2.023 4.515 3.437 C
3.543 4.411 3.566 C
5.979 7.982 5.076 C
6.653 8.850 7.345 C
6.839 8.989 5.837 C
8.313 8.910 5.441 C
2.690 6.436 8.766 I
2.898 8.563 2.394 I
3.435 11.498 7.531 I
6.318 1.800 1.770 I
6.902 4.113 6.861 I
7.239 7.023 1.152 I
1.739 5.082 2.043 N
6.350 10.386 5.436 N
```

---

Entry 5:
The following is a calculated powder XRD pattern of Nd8HC3I4. It was derived from a GGA-PBE-relaxed structure, using Cu Kα X-rays.

Principal peaks in the range 2θ from 10° to 90°, by intensity:
2θ = 30.6°, I 100.0; 2θ = 32.8°, I 60.9; 2θ = 46.6°, I 39.5; 2θ = 59.4°, I 34.6; 2θ = 34.7°, I 28.1; 2θ = 26.7°, I 26.9; 2θ = 27.5°, I 18.5; 2θ = 41.0°, I 17.7

Structural model:
```
Nd8HC3I4
1.0
6.758 -3.894 0.000
6.758 3.894 0.000
-4.507 0.000 7.754
Nd H C I
8 1 3 4
Cartesian
3.322 2.045 5.255 Nd
0.001 0.000 5.227 Nd
2.135 0.000 2.494 Nd
5.687 2.045 2.499 Nd
3.322 -2.045 5.255 Nd
6.873 0.000 5.260 Nd
9.008 0.000 2.527 Nd
5.687 -2.045 2.499 Nd
4.504 0.000 3.877 H
-2.253 0.000 3.877 C
1.125 1.947 3.877 C
1.125 -1.947 3.877 C
0.000 0.000 0.000 I
3.379 1.947 0.000 I
3.379 -1.947 0.000 I
6.758 0.000 0.000 I
```

---

Entry 6:
The following is a calculated powder XRD pattern of SnPH6CI3. It was derived from a GGA-PBE-relaxed structure, using Cu Kα X-rays.

Principal peaks in the range 2θ from 10° to 90°, by intensity:
2θ = 27.3°, I 100.0; 2θ = 13.6°, I 75.1; 2θ = 24.4°, I 46.0; 2θ = 27.5°, I 45.0; 2θ = 13.6°, I 37.2; 2θ = 39.4°, I 34.7; 2θ = 41.2°, I 26.5; 2θ = 22.5°, I 26.2

Structural model:
```
SnPH6CI3
1.0
6.523 0.000 0.000
0.129 6.543 0.000
0.664 0.133 6.518
Sn P H C I
1 1 6 1 3
Cartesian
0.000 0.000 0.000 Sn
4.276 3.194 3.806 P
1.997 3.162 3.116 H
3.034 4.046 1.942 H
3.048 2.247 1.981 H
4.185 4.355 4.612 H
4.199 2.063 4.657 H
5.531 3.195 3.176 H
2.959 3.159 2.587 C
3.800 6.503 6.398 I
6.552 6.469 2.944 I
7.095 3.124 6.234 I
```

---

Entry 7:
The following is a calculated powder XRD pattern of SnPH6CI3. It was derived from a GGA-PBE-relaxed structure, using Cu Kα X-rays.

Principal peaks in the range 2θ from 10° to 90°, by intensity:
2θ = 10.9°, I 100.0; 2θ = 39.7°, I 40.2; 2θ = 11.4°, I 38.9; 2θ = 25.5°, I 29.7; 2θ = 25.8°, I 27.3; 2θ = 24.3°, I 23.0; 2θ = 24.5°, I 22.6; 2θ = 25.1°, I 21.6

Structural model:
```
SnPH6CI3
1.0
7.855 0.000 0.000
0.301 9.100 0.000
0.488 0.816 16.176
Sn P H C I
4 4 24 4 12
Cartesian
0.000 0.000 0.000 Sn
1.218 4.875 8.057 Sn
4.711 9.853 16.163 Sn
5.148 4.918 8.042 Sn
2.257 4.105 1.805 P
3.109 9.039 9.842 P
6.642 8.786 4.543 P
7.100 4.622 12.564 P
0.207 0.862 5.711 H
0.994 3.486 1.917 H
1.961 8.245 9.622 H
1.805 1.461 11.378 H
1.987 5.778 3.504 H
2.209 5.003 0.704 H
2.884 9.178 12.228 H
2.739 4.278 4.152 H
2.927 0.861 8.767 H
3.216 3.109 1.521 H
3.587 1.411 11.566 H
3.707 5.421 3.152 H
4.241 8.198 9.818 H
5.340 8.332 4.855 H
6.071 5.383 14.585 H
6.009 4.857 11.698 H
6.256 0.524 3.399 H
6.426 1.452 6.156 H
6.902 6.719 13.717 H
7.065 3.250 12.922 H
7.329 8.995 6.826 H
7.396 7.642 4.233 H
7.857 5.511 14.648 H
8.295 4.876 11.857 H
2.685 0.806 11.410 C
2.711 4.979 3.305 C
6.969 5.664 14.021 C
7.034 0.560 5.949 C
2.277 3.018 14.871 I
2.155 9.190 2.575 I
2.783 7.701 14.912 I
3.211 5.026 10.639 I
3.318 7.121 6.763 I
3.216 2.716 6.769 I
6.026 6.922 1.377 I
5.934 2.234 1.252 I
6.594 9.786 13.649 I
7.132 7.124 9.369 I
7.127 4.836 5.552 I
7.259 2.729 9.432 I
```